# 1
Structure and simulated X-ray diffraction stick pattern of CsBaAsF6 (a GGA-PBE-relaxed structure; Cu Kα X-rays).

Largest 10 diffraction maxima, sorted by position, 2θ = 5–70°:
d [Å], intensity
5.963, 10
4.085, 100
3.238, 39
2.538, 26
2.195, 35
2.189, 9
1.998, 23
1.873, 15
1.868, 10
1.423, 9

Atomic structure:
```
CsBaAsF6
1.0
5.9632 0.0000 0.0000
0.0184 6.4676 0.0000
0.0092 3.2336 5.6158
Cs Ba As F
1 1 1 6
Direct
0.0000 0.0000 0.0000
0.5001 0.3335 0.3330
0.4995 0.6662 0.6675
0.3044 0.4035 0.9434
0.3047 0.9426 0.6531
0.3059 0.6544 0.4062
0.6933 0.9379 0.4072
0.6945 0.4054 0.6535
0.6948 0.6535 0.9419
```



# 2
Structure and simulated X-ray diffraction stick pattern of Cs2BaAs2O7 (a GGA-PBE-relaxed structure; Cu Kα X-rays).

Largest 10 diffraction maxima, sorted by position, 2θ = 5–70°:
d [Å], intensity
4.021, 31
3.571, 100
3.208, 94
2.508, 22
2.387, 26
2.015, 33
1.915, 29
1.852, 19
1.604, 17
1.463, 14

Atomic structure:
```
Cs2BaAs2O7
1.0
3.2084 1.8524 7.7678
-3.2084 1.8524 7.7678
0.0000 -3.7047 7.7678
Cs Ba As O
2 1 2 7
Direct
0.2171 0.2171 0.2171
0.7829 0.7829 0.7829
0.0000 0.0000 0.0000
0.4232 0.4232 0.4232
0.5768 0.5768 0.5768
0.2440 0.2712 0.7033
0.2712 0.7033 0.2440
0.2967 0.7288 0.7560
0.5000 0.5000 0.5000
0.7033 0.2440 0.2712
0.7288 0.7560 0.2967
0.7560 0.2967 0.7288
```



# 3
Structure and simulated X-ray diffraction stick pattern of CsBa2As2Se6 (a GGA-PBE-relaxed structure; Cu Kα X-rays).

Largest 10 diffraction maxima, sorted by position, 2θ = 5–70°:
d [Å], intensity
6.406, 44
5.255, 29
4.736, 26
3.285, 39
3.250, 54
3.154, 66
3.001, 100
2.691, 92
2.628, 34
2.021, 24

Atomic structure:
```
CsBa2As2Se6
1.0
6.6299 0.0000 0.0000
2.0306 6.4088 0.0000
0.1059 0.2986 9.4609
Cs Ba As Se
1 2 2 6
Direct
0.0000 0.0000 0.0000
0.3486 0.3358 0.6353
0.6514 0.6642 0.3647
0.2418 0.3430 0.2193
0.7582 0.6570 0.7807
0.1490 0.6642 0.3493
0.2947 0.4652 0.9828
0.4079 0.8193 0.6822
0.5921 0.1807 0.3178
0.7053 0.5348 0.0172
0.8510 0.3358 0.6507
```



# 4
Structure and simulated X-ray diffraction stick pattern of Ba3CuAs3 (a GGA-PBE-relaxed structure; Cu Kα X-rays).

Largest 10 diffraction maxima, sorted by position, 2θ = 5–70°:
d [Å], intensity
3.885, 44
3.415, 55
3.367, 86
3.314, 96
3.141, 43
2.752, 54
2.398, 67
2.378, 70
2.362, 100
1.943, 43

Atomic structure:
```
Ba3CuAs3
1.0
9.9424 -3.4153 0.0000
9.9424 3.4153 0.0000
0.0000 0.0000 13.4662
Ba Cu As
12 4 12
Direct
0.0263 0.6283 0.1297
0.1283 0.5263 0.6297
0.1841 0.8159 0.8534
0.3159 0.6841 0.3534
0.3717 0.9737 0.1297
0.4737 0.8717 0.6297
0.5263 0.1283 0.3703
0.6283 0.0263 0.8703
0.6841 0.3159 0.6466
0.8159 0.1841 0.1466
0.8717 0.4737 0.3703
0.9737 0.3717 0.8703
0.0805 0.0805 0.5000
0.4195 0.4195 0.0000
0.5805 0.5805 0.0000
0.9195 0.9195 0.5000
0.0333 0.6529 0.3871
0.1529 0.5333 0.8871
0.1938 0.8062 0.5989
0.3062 0.6938 0.0989
0.3471 0.9667 0.3871
0.4667 0.8471 0.8871
0.5333 0.1529 0.1129
0.6529 0.0333 0.6129
0.6938 0.3062 0.9011
0.8062 0.1938 0.4011
0.8471 0.4667 0.1129
0.9667 0.3471 0.6129
```



# 5
Structure and simulated X-ray diffraction stick pattern of BaCu2AsO (a GGA-PBE-relaxed structure; Cu Kα X-rays).

Largest 10 diffraction maxima, sorted by position, 2θ = 5–70°:
d [Å], intensity
2.852, 54
2.792, 63
2.646, 74
2.598, 100
2.307, 21
2.204, 20
2.009, 66
1.821, 26
1.630, 24
1.554, 25

Atomic structure:
```
BaCu2AsO
1.0
2.0084 -6.0735 0.0000
2.0084 6.0735 0.0000
0.0000 0.0000 7.0963
Ba Cu As O
2 4 2 2
Direct
0.0442 0.9558 0.7500
0.9558 0.0442 0.2500
0.3309 0.6691 0.5641
0.3309 0.6691 0.9359
0.6691 0.3309 0.0641
0.6691 0.3309 0.4359
0.2306 0.7694 0.2500
0.7694 0.2306 0.7500
0.5000 0.5000 0.0000
0.5000 0.5000 0.5000
```



# 6
Structure and simulated X-ray diffraction stick pattern of BaCu2As2O8 (a GGA-PBE-relaxed structure; Cu Kα X-rays).

Largest 10 diffraction maxima, sorted by position, 2θ = 5–70°:
d [Å], intensity
4.524, 43
3.859, 57
3.083, 80
3.024, 100
2.856, 36
2.813, 52
2.407, 30
2.378, 23
2.023, 31
1.664, 25

Atomic structure:
```
BaCu2As2O8
1.0
4.7603 0.0000 0.0000
0.0000 8.8788 0.0000
-4.3816 0.0000 9.0483
Ba Cu As O
2 4 4 16
Direct
0.0000 0.0000 0.0000
0.0000 0.5000 0.5000
0.1049 0.0828 0.6524
0.1049 0.4172 0.1524
0.8951 0.5828 0.8476
0.8951 0.9172 0.3476
0.3729 0.1842 0.4219
0.3729 0.3158 0.9219
0.6271 0.6842 0.0781
0.6271 0.8158 0.5781
0.0825 0.0840 0.2808
0.0825 0.4160 0.7808
0.2749 0.5979 0.0374
0.2749 0.9021 0.5374
0.3120 0.2259 0.5759
0.3120 0.2741 0.0759
0.3858 0.1321 0.8617
0.3858 0.3679 0.3617
0.6142 0.6321 0.6383
0.6142 0.8679 0.1383
0.6880 0.7259 0.9241
0.6880 0.7741 0.4241
0.7251 0.0979 0.4626
0.7251 0.4021 0.9626
0.9175 0.5840 0.2192
0.9175 0.9160 0.7192
```